(1)
Theoretical X-ray powder pattern
Compound: Tc
Radiation: copper Kα
Structure: a structure optimized by DFT (GGA-PBE)

```
Tc
1.0
-4.7466 4.7466 4.7466
4.7466 -4.7466 4.7466
4.7466 4.7466 -4.7466
Tc
29
Direct
0.0000 0.0000 0.0000
0.0000 0.0000 0.6414
0.0000 0.1922 0.3722
0.0000 0.3722 0.1922
0.0000 0.3996 0.6840
0.0000 0.6414 0.0000
0.0000 0.6840 0.3996
0.1800 0.8078 0.8078
0.1922 0.0000 0.3722
0.1922 0.3722 0.0000
0.2844 0.6004 0.6004
0.3160 0.3160 0.7156
0.3160 0.7156 0.3160
0.3586 0.3586 0.3586
0.3722 0.0000 0.1922
0.3722 0.1922 0.0000
0.3996 0.0000 0.6840
0.3996 0.6840 0.0000
0.6004 0.2844 0.6004
0.6004 0.6004 0.2844
0.6278 0.6278 0.8200
0.6278 0.8200 0.6278
0.6414 0.0000 0.0000
0.6840 0.0000 0.3996
0.6840 0.3996 0.0000
0.7156 0.3160 0.3160
0.8078 0.1800 0.8078
0.8078 0.8078 0.1800
0.8200 0.6278 0.6278
```

The 10 most intense peaks (10° ≤ 2θ ≤ 80°), by intensity:
- d = 2.238 Å, I = 100
- d = 2.024 Å, I = 27
- d = 1.292 Å, I = 25
- d = 1.862 Å, I = 16
- d = 1.938 Å, I = 10
- d = 1.343 Å, I = 8
- d = 2.373 Å, I = 6
- d = 1.370 Å, I = 5
- d = 1.269 Å, I = 5
- d = 1.206 Å, I = 4

=====

(2)
Theoretical X-ray powder pattern
Compound: Gd11In2Ge8
Radiation: copper Kα
Structure: a structure optimized by DFT (GGA-PBE)

```
Gd11In2Ge8
1.0
-5.6263 5.6263 8.2293
5.6263 -5.6263 8.2293
5.6263 5.6263 -8.2293
Gd In Ge
22 4 16
Direct
0.0573 0.3088 0.7485
0.1038 0.4405 0.3367
0.1038 0.7671 0.6633
0.1670 0.1670 0.0000
0.2329 0.8962 0.3367
0.3088 0.0573 0.7485
0.3088 0.5603 0.2515
0.3304 0.3304 0.6608
0.3304 0.6696 0.0000
0.4397 0.6912 0.7485
0.4405 0.1038 0.3367
0.5595 0.8962 0.6633
0.5603 0.3088 0.2515
0.6696 0.3304 0.0000
0.6696 0.6696 0.3392
0.6912 0.4397 0.7485
0.6912 0.9427 0.2515
0.7671 0.1038 0.6633
0.8330 0.8330 0.0000
0.8962 0.2329 0.3367
0.8962 0.5595 0.6633
0.9427 0.6912 0.2515
0.1300 0.1300 0.2600
0.1300 0.8700 0.0000
0.8700 0.1300 0.0000
0.8700 0.8700 0.7400
0.0305 0.0305 0.4131
0.0305 0.6174 0.0000
0.1465 0.5000 0.6465
0.2500 0.7500 0.5000
0.3821 0.3821 0.0000
0.3826 0.3826 0.4131
0.3826 0.9695 0.0000
0.5000 0.1465 0.6465
0.5000 0.8535 0.3535
0.6174 0.0305 0.0000
0.6174 0.6174 0.5869
0.6179 0.6179 0.0000
0.7500 0.2500 0.5000
0.8535 0.5000 0.3535
0.9695 0.3826 0.0000
0.9695 0.9695 0.5869
```

The 10 most intense peaks (10° ≤ 2θ ≤ 80°), by intensity:
- d = 2.755 Å, I = 100
- d = 2.713 Å, I = 96
- d = 2.652 Å, I = 78
- d = 2.662 Å, I = 67
- d = 2.692 Å, I = 61
- d = 2.474 Å, I = 49
- d = 1.399 Å, I = 35
- d = 1.876 Å, I = 31
- d = 2.813 Å, I = 27
- d = 2.524 Å, I = 24

=====

(3)
Theoretical X-ray powder pattern
Compound: CuReB2
Radiation: copper Kα
Structure: a structure optimized by DFT (GGA-PBE)

```
CuReB2
1.0
5.4745 0.0000 0.0000
0.0000 5.4745 0.0000
0.0000 0.0000 5.4745
Cu Re B
4 4 8
Direct
0.0000 0.0000 0.0000
0.0000 0.5000 0.5000
0.5000 0.0000 0.5000
0.5000 0.5000 0.0000
0.2500 0.2500 0.7500
0.2500 0.7500 0.2500
0.7500 0.2500 0.2500
0.7500 0.7500 0.7500
0.0000 0.0000 0.5000
0.0000 0.5000 0.0000
0.2500 0.2500 0.2500
0.2500 0.7500 0.7500
0.5000 0.0000 0.0000
0.5000 0.5000 0.5000
0.7500 0.2500 0.7500
0.7500 0.7500 0.2500
```

The 8 most intense peaks (10° ≤ 2θ ≤ 80°), by intensity:
- d = 3.161 Å, I = 100
- d = 1.936 Å, I = 78
- d = 1.651 Å, I = 47
- d = 2.737 Å, I = 19
- d = 1.256 Å, I = 19
- d = 1.369 Å, I = 12
- d = 1.224 Å, I = 7
- d = 1.580 Å, I = 5

=====

(4)
Theoretical X-ray powder pattern
Compound: K2RbCu3P2
Radiation: copper Kα
Structure: a structure optimized by DFT (GGA-PBE)

```
K2RbCu3P2
1.0
2.8804 1.6630 6.6667
-2.8804 1.6630 6.6667
0.0000 -3.3260 6.6667
K Rb Cu P
2 1 3 2
Direct
0.0911 0.0911 0.0911
0.9089 0.9089 0.9089
0.5000 0.5000 0.5000
0.0000 0.5000 0.5000
0.5000 0.0000 0.5000
0.5000 0.5000 0.0000
0.2571 0.2571 0.2571
0.7429 0.7429 0.7429
```

The 10 most intense peaks (10° ≤ 2θ ≤ 80°), by intensity:
- d = 3.121 Å, I = 100
- d = 2.477 Å, I = 60
- d = 2.232 Å, I = 59
- d = 2.420 Å, I = 57
- d = 2.644 Å, I = 52
- d = 6.667 Å, I = 45
- d = 4.841 Å, I = 36
- d = 1.766 Å, I = 34
- d = 2.880 Å, I = 34
- d = 1.706 Å, I = 31